Record 1
Diffraction record for Tb5NdYTh2. The X-ray powder pattern is computed, not measured: it uses a structure optimized by DFT (GGA-PBE) and copper Kα.
Neutral-atom scattering factors, no anomalous dispersion.

Structure:
```
Tb5NdYTh2
1.0
-4.4445 4.4445 7.6803
4.4445 -4.4445 7.6803
4.4445 4.4445 -7.6803
Tb Nd Y Th
10 2 2 4
direct
0.0000 0.0000 0.0000
0.0717 0.5717 0.9179
0.1538 0.0717 0.5000
0.3462 0.8462 0.9179
0.4283 0.3462 0.5000
0.5000 0.5000 0.0000
0.5717 0.6538 0.5000
0.6538 0.1538 0.0821
0.8462 0.9283 0.5000
0.9283 0.4283 0.0821
0.2500 0.2500 0.0000
0.7500 0.7500 0.0000
0.2500 0.7500 0.5000
0.7500 0.2500 0.5000
0.1189 0.3811 0.5000
0.3811 0.8811 0.2623
0.6189 0.1189 0.7377
0.8811 0.6189 0.5000
```

Most intense lines, 2θ = 15–90°, sorted by position:
2θ/deg	d (Å)	Rel. int.
28.41	3.141	100
30.77	2.906	75
31.84	2.811	21
33.96	2.640	11
36.95	2.433	42
42.34	2.135	21
47.34	1.920	11
51.79	1.765	17
56.09	1.640	13
58.14	1.587	18
64.01	1.455	16
78.66	1.216	20

=====

Record 2
Diffraction record for Cu2SbRh. The X-ray powder pattern is computed, not measured: it uses a structure optimized by DFT (GGA-PBE) and copper Kα.
Neutral-atom scattering factors, no anomalous dispersion.

Structure:
```
Cu2SbRh
1.0
3.7892 0.0000 0.0000
0.0000 3.7892 0.0000
0.0000 0.0000 8.3579
Cu Sb Rh
4 2 2
direct
0.0000 0.5000 0.2500
0.0000 0.5000 0.7500
0.5000 0.0000 0.2500
0.5000 0.0000 0.7500
0.0000 0.0000 0.0000
0.5000 0.5000 0.5000
0.0000 0.0000 0.5000
0.5000 0.5000 0.0000
```

Most intense lines, 2θ = 15–90°, sorted by position:
2θ/deg	d (Å)	Rel. int.
21.26	4.179	8
33.44	2.679	5
39.97	2.256	100
43.30	2.089	20
48.02	1.895	29
53.07	1.726	3
55.79	1.648	2
66.63	1.404	21
70.26	1.340	9
77.18	1.236	13
84.03	1.152	22
86.25	1.128	10

=====

Record 3
Diffraction record for Sc3Os5. The X-ray powder pattern is computed, not measured: it uses a structure optimized by DFT (GGA-PBE) and copper Kα.
Neutral-atom scattering factors, no anomalous dispersion.

Structure:
```
Sc3Os5
1.0
6.3756 0.0000 0.0000
0.0000 8.9338 0.0000
0.0000 0.0000 4.4723
Sc Os
6 10
direct
0.0000 0.0000 0.0000
0.0000 0.2486 0.5000
0.0000 0.7514 0.5000
0.5000 0.2514 0.5000
0.5000 0.5000 0.0000
0.5000 0.7486 0.5000
0.0000 0.5000 0.0000
0.2385 0.5000 0.5000
0.2500 0.2500 0.0000
0.2500 0.7500 0.0000
0.2615 0.0000 0.5000
0.5000 0.0000 0.0000
0.7385 0.0000 0.5000
0.7500 0.2500 0.0000
0.7500 0.7500 0.0000
0.7615 0.5000 0.5000
```

Most intense lines, 2θ = 15–90°, sorted by position:
2θ/deg	d (Å)	Rel. int.
17.09	5.190	10
27.99	3.188	10
28.24	3.160	20
40.18	2.244	100
40.36	2.235	50
49.83	1.830	9
57.85	1.594	8
58.40	1.580	17
66.01	1.415	6
72.89	1.298	17
73.26	1.292	34
86.78	1.122	11

=====

Record 4
Diffraction record for Ba2CdSn3Hg4. The X-ray powder pattern is computed, not measured: it uses a structure optimized by DFT (GGA-PBE) and copper Kα.
Neutral-atom scattering factors, no anomalous dispersion.

Structure:
```
Ba2CdSn3Hg4
1.0
4.9850 0.0000 0.0000
0.0000 4.9850 0.0000
0.0000 0.0000 12.1334
Ba Cd Sn Hg
2 1 3 4
direct
0.0000 0.5000 0.2413
0.5000 0.0000 0.7587
0.0000 0.0000 0.5000
0.0000 0.5000 0.8669
0.5000 0.0000 0.1331
0.5000 0.5000 0.5000
0.0000 0.0000 0.0000
0.0000 0.5000 0.6328
0.5000 0.0000 0.3672
0.5000 0.5000 0.0000
```

Most intense lines, 2θ = 15–90°, sorted by position:
2θ/deg	d (Å)	Rel. int.
28.42	3.141	48
29.30	3.048	100
36.03	2.492	75
39.18	2.299	51
41.38	2.182	28
46.51	1.952	25
51.88	1.762	27
56.01	1.642	23
60.70	1.526	27
66.89	1.399	22
73.03	1.296	18
87.52	1.115	13

=====

Record 5
Diffraction record for MnCr2Se3S. The X-ray powder pattern is computed, not measured: it uses a structure optimized by DFT (GGA-PBE) and copper Kα.
Neutral-atom scattering factors, no anomalous dispersion.

Structure:
```
MnCr2Se3S
1.0
13.3159 0.0000 0.0000
0.0000 3.6752 0.0000
-2.8399 0.0000 5.6574
Mn Cr Se S
2 4 6 2
direct
0.0000 0.0000 0.0000
0.5000 0.5000 0.0000
0.2451 0.5000 0.7445
0.2630 0.0000 0.2255
0.7451 0.0000 0.7445
0.7630 0.5000 0.2255
0.1274 0.0000 0.7855
0.1393 0.5000 0.2898
0.3696 0.0000 0.6869
0.6274 0.5000 0.7855
0.6393 0.0000 0.2898
0.8696 0.5000 0.6869
0.3642 0.5000 0.1640
0.8642 0.0000 0.1640
```

Most intense lines, 2θ = 15–90°, sorted by position:
2θ/deg	d (Å)	Rel. int.
16.06	5.519	25
31.68	2.825	100
32.13	2.786	99
32.45	2.759	24
33.23	2.696	19
41.02	2.200	40
41.25	2.188	39
41.91	2.156	66
42.32	2.136	19
49.60	1.838	39
49.85	1.829	64
54.14	1.694	27

=====

Record 6
Diffraction record for CaAcZnCu. The X-ray powder pattern is computed, not measured: it uses a structure optimized by DFT (GGA-PBE) and copper Kα.
Neutral-atom scattering factors, no anomalous dispersion.

Structure:
```
CaAcZnCu
1.0
4.3715 0.0000 0.0000
0.0000 4.1953 0.0000
0.0000 0.0000 12.0733
Ca Ac Zn Cu
2 2 2 2
direct
0.0000 0.0000 0.0000
0.0000 0.5000 0.5000
0.5000 0.0000 0.7173
0.5000 0.5000 0.2173
0.5000 0.0000 0.4295
0.5000 0.5000 0.9295
0.0000 0.0000 0.3067
0.0000 0.5000 0.8067
```

Most intense lines, 2θ = 15–90°, sorted by position:
2θ/deg	d (Å)	Rel. int.
20.31	4.371	27
22.44	3.963	30
25.15	3.541	28
29.60	3.018	21
30.45	2.936	100
30.79	2.904	57
36.16	2.484	39
37.17	2.419	60
41.31	2.186	23
52.39	1.746	26
57.51	1.603	20
61.27	1.513	20

=====

> Which formula does entry 6 have?

CaAcZnCu